Computed powder XRD pattern
Compound: P8H
Radiation: copper Kα
Structure: DFT lattice parameters and positions (PBE)

Cell and atoms:
```
data_P8H
_space_group_name_H-M_alt 'P 1'
_space_group_IT_number 1
_cell_length_a 6.1040
_cell_length_b 6.1554
_cell_length_c 6.6126
_cell_angle_alpha 105.57
_cell_angle_beta 105.13
_cell_angle_gamma 113.70
loop_
_space_group_symop_operation_xyz
'x,y,z'
loop_
_atom_site_label
_atom_site_type_symbol
_atom_site_fract_x
_atom_site_fract_y
_atom_site_fract_z
P1 P 0.0000 0.0000 0.0000
P2 P 0.0015 0.9953 0.4967
P3 P 0.2584 0.0050 0.8142
P4 P 0.2918 0.0508 0.3301
P5 P 0.5052 0.4973 0.4990
P6 P 0.5414 0.4452 0.9988
P7 P 0.8124 0.5625 0.8223
P8 P 0.8149 0.5584 0.3617
H1 H 0.3987 0.5824 0.0021
```

The 6 most intense peaks (5 to 70 degrees two-theta), sorted by position:
(hkl)	d [Å]	Rel. int.
1 -1 0	5.132	100.0
0 2 0	2.554	20.0
1 -1 2	2.522	20.8
2 0 -2	2.494	20.0
2 -2 2	1.922	13.0
-2 2 2	1.919	10.1

Computed powder XRD pattern
Compound: PH2
Radiation: copper Kα
Structure: DFT lattice parameters and positions (PBE)

Cell and atoms:
```
data_PH2
_space_group_name_H-M_alt 'P 1'
_space_group_IT_number 1
_cell_length_a 2.6219
_cell_length_b 4.1688
_cell_length_c 4.1809
_cell_angle_alpha 114.21
_cell_angle_beta 100.12
_cell_angle_gamma 103.37
loop_
_space_group_symop_operation_xyz
'x,y,z'
loop_
_atom_site_label
_atom_site_type_symbol
_atom_site_fract_x
_atom_site_fract_y
_atom_site_fract_z
P1 P 0.0000 0.0000 0.0000
H1 H 0.8324 0.6139 0.9095
H2 H 0.8604 0.9100 0.6200
```

The 6 most intense peaks (5 to 70 degrees two-theta), sorted by position:
(hkl)	d [Å]	Rel. int.
0 0 1	3.631	100.0
0 1 0	3.578	95.6
0 1 -1	3.503	83.5
1 0 0	2.428	65.2
1 0 -1	2.383	30.1
0 2 -1	2.029	32.5

Computed powder XRD pattern
Compound: Pa3P2H6
Radiation: copper Kα
Structure: DFT lattice parameters and positions (PBE)

Cell and atoms:
```
data_Pa3P2H6
_space_group_name_H-M_alt 'P -6 2 m'
_space_group_IT_number 189
_space_group_name_Hall 'P -6 -2'
_cell_length_a 6.8009
_cell_length_b 6.8009
_cell_length_c 3.7040
_cell_angle_alpha 90.00
_cell_angle_beta 90.00
_cell_angle_gamma 120.00
loop_
_atom_site_label
_atom_site_type_symbol
_atom_site_fract_x
_atom_site_fract_y
_atom_site_fract_z
Pa1 Pa 0.0000 0.6442 0.0000
P1 P 0.3333 0.6667 0.5000
H1 H 0.0000 0.3157 0.0000
H2 H 0.0000 0.8049 0.5000
```

The 6 most intense peaks (5 to 70 degrees two-theta), sorted by position:
(hkl)	d [Å]	Rel. int.
0 0 1	3.704	35.6
1 1 0	3.400	92.7
1 1 1	2.505	100.0
3 0 0	1.963	25.3
3 0 1	1.735	24.1
1 1 2	1.626	23.4

Computed powder XRD pattern
Compound: PaPHPd
Radiation: copper Kα
Structure: DFT lattice parameters and positions (PBE)

Cell and atoms:
```
data_PaPHPd
_space_group_name_H-M_alt 'P -6 m 2'
_space_group_IT_number 187
_space_group_name_Hall 'P -6 2'
_cell_length_a 4.1276
_cell_length_b 4.1276
_cell_length_c 4.0058
_cell_angle_alpha 90.00
_cell_angle_beta 90.00
_cell_angle_gamma 120.00
loop_
_atom_site_label
_atom_site_type_symbol
_atom_site_fract_x
_atom_site_fract_y
_atom_site_fract_z
Pa1 Pa 0.0000 0.0000 0.0000
P1 P 0.3333 0.6667 0.5000
H1 H 0.6667 0.3333 0.0000
Pd1 Pd 0.6667 0.3333 0.5000
```

The 6 most intense peaks (5 to 70 degrees two-theta), sorted by position:
(hkl)	d [Å]	Rel. int.
1 0 0	3.575	32.8
1 0 1	2.667	100.0
1 1 0	2.064	35.2
0 0 2	2.003	10.7
2 0 1	1.632	23.3
1 1 2	1.437	22.1

Computed powder XRD pattern
Compound: PaPHRh
Radiation: copper Kα
Structure: DFT lattice parameters and positions (PBE)

Cell and atoms:
```
data_PaPHRh
_space_group_name_H-M_alt 'P -6 m 2'
_space_group_IT_number 187
_space_group_name_Hall 'P -6 2'
_cell_length_a 4.1361
_cell_length_b 4.1361
_cell_length_c 3.8287
_cell_angle_alpha 90.00
_cell_angle_beta 90.00
_cell_angle_gamma 120.00
loop_
_atom_site_label
_atom_site_type_symbol
_atom_site_fract_x
_atom_site_fract_y
_atom_site_fract_z
Pa1 Pa 0.0000 0.0000 0.0000
P1 P 0.3333 0.6667 0.5000
H1 H 0.6667 0.3333 0.0000
Rh1 Rh 0.6667 0.3333 0.5000
```

The 6 most intense peaks (5 to 70 degrees two-theta), sorted by position:
(hkl)	d [Å]	Rel. int.
1 0 0	3.582	35.3
1 0 1	2.616	100.0
1 1 0	2.068	37.2
0 0 2	1.914	9.8
2 0 1	1.622	24.1
1 1 2	1.405	21.5

Computed powder XRD pattern
Compound: Pa2TePH2
Radiation: copper Kα
Structure: DFT lattice parameters and positions (PBE)

Cell and atoms:
```
data_Pa2TePH2
_space_group_name_H-M_alt 'P -3 m 1'
_space_group_IT_number 164
_space_group_name_Hall '-P 3 2"'
_cell_length_a 3.8706
_cell_length_b 3.8706
_cell_length_c 8.0170
_cell_angle_alpha 90.00
_cell_angle_beta 90.00
_cell_angle_gamma 120.00
loop_
_atom_site_label
_atom_site_type_symbol
_atom_site_fract_x
_atom_site_fract_y
_atom_site_fract_z
Pa1 Pa 0.3333 0.6667 0.2099
Te1 Te 0.0000 0.0000 0.5000
P1 P 0.0000 0.0000 0.0000
H1 H 0.3333 0.6667 0.7538
```

The 6 most intense peaks (5 to 70 degrees two-theta), sorted by position:
(hkl)	d [Å]	Rel. int.
1 0 1	3.093	100.0
0 1 2	2.571	60.4
1 0 3	2.090	17.5
1 1 0	1.935	30.5
0 2 1	1.641	16.4
1 1 3	1.567	13.9